Simulated X-ray powder pattern
Compound: BaSi3Au7
Radiation: Cu Kα (weighted mean of Kα1 and Kα2)
Structure: a PBE-relaxed structure

Structural model:
```
22
Lattice="4.216 2.434 7.063 -4.216 2.434 7.063 0.000 -4.869 7.063" Properties=species:S:1:pos:R:3 pbc="T T T"
Ba 0.000 0.000 0.000
Ba 0.000 0.000 10.594
Si -2.833 -0.038 8.828
Si -1.383 -2.473 12.360
Si 1.450 -2.434 8.828
Si -1.450 2.434 12.360
Si 1.383 2.473 8.828
Si 2.833 0.038 12.360
Au -3.241 -0.935 11.189
Au -0.810 -3.274 9.999
Au -0.810 -1.595 7.658
Au 0.000 0.000 5.297
Au -2.430 2.339 9.999
Au -0.976 1.499 7.658
Au -1.786 -0.095 13.530
Au 1.786 0.095 7.658
Au 0.976 -1.499 13.530
Au 2.430 -2.339 11.189
Au 0.000 0.000 15.891
Au 0.810 1.595 13.530
Au 0.810 3.274 11.189
Au 3.241 0.935 9.999
```

Main lines, in order of rising 2θ (2θ from 15° to 90°):
3.006 Å, 29.72°, intensity 41
2.737 Å, 32.72°, intensity 89
2.490 Å, 36.07°, intensity 47
2.448 Å, 36.71°, intensity 100
2.313 Å, 38.94°, intensity 74
2.056 Å, 44.05°, intensity 36

***

Simulated X-ray powder pattern
Compound: Ba8Si43Au3
Radiation: Cu Kα (weighted mean of Kα1 and Kα2)
Structure: a PBE-relaxed structure

Structural model:
```
54
Lattice="7.394 4.269 6.031 -7.394 4.269 6.031 0.000 -8.538 6.031" Properties=species:S:1:pos:R:3 pbc="T T T"
Ba -1.764 -5.483 6.031
Ba -3.868 0.000 9.046
Ba -3.866 4.269 6.031
Ba 0.000 0.000 4.522
Ba 1.934 -3.350 9.046
Ba 0.000 0.000 13.571
Ba 5.630 1.213 6.031
Ba 1.934 3.350 9.046
Si -6.032 -2.456 10.068
Si -4.257 -3.466 8.639
Si -0.014 -3.159 3.443
Si 0.000 0.000 1.208
Si -2.727 -1.577 5.672
Si -2.729 1.592 3.443
Si -6.032 2.456 8.024
Si -3.123 0.800 5.681
Si -1.855 -3.214 9.046
Si 0.889 -6.451 8.024
Si 0.869 -3.105 5.681
Si -0.865 -2.112 7.106
Si -0.873 -5.420 9.453
Si -1.397 1.805 7.106
Si -4.257 3.466 9.453
Si 0.000 0.000 7.882
Si -0.002 3.150 5.672
Si 2.743 1.567 3.443
Si 2.729 -1.574 5.672
Si -1.397 -1.805 10.987
Si -3.123 -0.800 12.412
Si -1.855 3.214 9.046
Si 2.254 2.305 5.681
Si 2.261 0.307 7.106
Si -0.002 -3.150 12.420
Si -2.729 -1.592 14.649
Si 0.000 0.000 10.211
Si -2.727 1.577 12.420
Si -0.873 5.420 8.639
Si -0.865 2.112 10.987
Si 5.143 -3.996 10.068
Si 5.130 -1.953 8.639
Si 2.261 -0.307 10.987
Si 2.254 -2.305 12.412
Si 3.711 0.000 9.046
Si 0.869 3.105 12.412
Si 0.889 6.451 10.068
Si 2.729 1.574 12.420
Si -0.014 3.159 14.649
Si 0.000 0.000 16.884
Si 2.743 -1.567 14.649
Si 5.130 1.953 9.453
Si 5.143 3.996 8.024
Au -5.553 1.080 6.031
Au 1.841 -5.349 6.031
Au 3.712 4.269 6.031
```

Main lines, in order of rising 2θ (2θ from 15° to 90°):
4.268 Å, 20.81°, intensity 42
3.018 Å, 29.60°, intensity 40
2.794 Å, 32.04°, intensity 100
2.613 Å, 34.31°, intensity 31
1.696 Å, 54.08°, intensity 37
1.423 Å, 65.63°, intensity 16

***

Simulated X-ray powder pattern
Compound: Ba2ZnSiAu6
Radiation: Cu Kα (weighted mean of Kα1 and Kα2)
Structure: a PBE-relaxed structure

Structural model:
```
10
Lattice="-3.537 3.562 5.015 3.537 -3.562 5.015 3.537 3.562 -5.015" Properties=species:S:1:pos:R:3 pbc="T T T"
Ba 0.000 0.000 2.509
Ba 0.000 0.000 7.521
Zn 0.000 3.562 0.000
Si 3.537 0.000 0.000
Au 1.800 1.748 0.000
Au 5.275 1.748 0.000
Au 3.537 0.000 2.464
Au 0.000 3.562 2.551
Au -1.738 1.814 5.015
Au 1.738 1.814 5.015
```

Main lines, in order of rising 2θ (2θ from 15° to 90°):
2.904 Å, 30.79°, intensity 75
2.891 Å, 30.94°, intensity 74
2.509 Å, 35.79°, intensity 100
1.774 Å, 51.52°, intensity 47
1.516 Å, 61.11°, intensity 22
1.122 Å, 86.81°, intensity 22

***

Simulated X-ray powder pattern
Compound: Ba2Sn3Au5
Radiation: Cu Kα (weighted mean of Kα1 and Kα2)
Structure: a PBE-relaxed structure

Structural model:
```
10
Lattice="4.966 0.000 0.000 0.000 4.966 0.000 0.000 0.000 11.173" Properties=species:S:1:pos:R:3 pbc="T T T"
Ba 0.000 2.483 2.471
Ba 2.483 0.000 8.702
Sn 0.000 2.483 7.129
Sn 2.483 0.000 4.044
Sn 2.483 2.483 5.586
Au 0.000 0.000 0.000
Au 0.000 0.000 5.586
Au 0.000 2.483 9.821
Au 2.483 0.000 1.352
Au 2.483 2.483 0.000
```

Main lines, in order of rising 2θ (2θ from 15° to 90°):
2.975 Å, 30.04°, intensity 100
2.483 Å, 36.18°, intensity 58
2.186 Å, 41.30°, intensity 40
1.756 Å, 52.09°, intensity 21
1.512 Å, 61.31°, intensity 23
1.369 Å, 68.55°, intensity 19

***

Simulated X-ray powder pattern
Compound: BaSn4Au4
Radiation: Cu Kα (weighted mean of Kα1 and Kα2)
Structure: a PBE-relaxed structure

Structural model:
```
9
Lattice="6.500 -2.422 0.000 6.500 2.422 0.000 -6.477 0.000 7.758" Properties=species:S:1:pos:R:3 pbc="T T T"
Ba 0.000 0.000 0.000
Sn -2.890 0.000 6.580
Sn 1.727 0.000 3.433
Sn 4.795 0.000 4.325
Sn 9.412 0.000 1.178
Au -0.488 0.000 5.214
Au 4.301 0.000 1.545
Au 2.221 0.000 6.212
Au 7.010 0.000 2.544
```

Main lines, in order of rising 2θ (2θ from 15° to 90°):
4.358 Å, 20.38°, intensity 64
3.412 Å, 26.12°, intensity 99
2.422 Å, 37.12°, intensity 84
2.401 Å, 37.46°, intensity 78
2.266 Å, 39.79°, intensity 100
2.240 Å, 40.26°, intensity 84

***

Simulated X-ray powder pattern
Compound: BaSn8Au6
Radiation: Cu Kα (weighted mean of Kα1 and Kα2)
Structure: a PBE-relaxed structure

Structural model:
```
15
Lattice="4.008 2.314 7.330 -4.008 2.314 7.330 0.000 -4.628 7.330" Properties=species:S:1:pos:R:3 pbc="T T T"
Ba 0.000 0.000 0.000
Sn -2.610 0.171 9.910
Sn -1.453 -2.175 12.081
Sn 0.000 0.000 7.224
Sn 1.157 -2.346 9.910
Sn -1.157 2.346 12.081
Sn 0.000 0.000 14.767
Sn 1.453 2.175 9.910
Sn 2.610 -0.171 12.081
Au -1.546 -2.257 9.176
Au -2.728 0.210 12.815
Au -1.182 2.467 9.176
Au 1.182 -2.467 12.815
Au 2.728 -0.210 9.176
Au 1.546 2.257 12.815
```

Main lines, in order of rising 2θ (2θ from 15° to 90°):
4.008 Å, 22.18°, intensity 28
3.517 Å, 25.33°, intensity 79
2.705 Å, 33.12°, intensity 95
2.314 Å, 38.92°, intensity 100
2.086 Å, 43.37°, intensity 47
1.377 Å, 68.09°, intensity 26